For TbAl10V2, a DFT-relaxed cell (PBE, Alexandria) gives the theoretical powder X-ray diffraction pattern in this record (Cu Kα, 1.54184 Å).
Lines closer than 0.1° are merged.

Most intense lines, 5 to 70 degrees two-theta, by angle:
d_spacing	two_theta	I_rel
6.445	13.74	86
4.592	19.33	63
3.237	27.56	71
3.224	27.67	58
2.881	31.04	41
2.637	33.99	69
2.299	39.18	52
2.293	39.29	51
2.284	39.45	88
2.278	39.56	100

Structural model:
Lattice parameters (Å, degrees): 6.9727 6.9727 6.9570 98.29 98.29 135.17
Atoms (fractional coordinates):
Tb (0.0000, 0.0000, 0.0000)
Al (0.0000, 0.5000, 0.0000)
Al (0.0140, 0.3505, 0.3645)
Al (0.2807, 0.4946, 0.7751)
Al (0.3505, 0.0140, 0.3645)
Al (0.4946, 0.2807, 0.7751)
Al (0.5000, 0.0000, 0.0000)
Al (0.5054, 0.7193, 0.2249)
Al (0.6495, 0.9860, 0.6355)
Al (0.7193, 0.5054, 0.2249)
Al (0.9860, 0.6495, 0.6355)
V (0.0000, 0.0000, 0.5000)
V (0.5000, 0.5000, 0.5000)

***

For TbY2Al6, a DFT-relaxed cell (PBE, Alexandria) gives the theoretical powder X-ray diffraction pattern in this record (Cu Kα, 1.54184 Å).
Lines closer than 0.1° are merged.

Most intense lines, 5 to 70 degrees two-theta, by angle:
d_spacing	two_theta	I_rel
6.847	12.93	12
3.953	22.49	54
2.621	34.21	100
2.282	39.48	48
1.977	45.91	8
1.912	47.56	7
1.721	53.22	28
1.601	57.59	8
1.389	67.43	19
1.374	68.25	26

Structural model:
Lattice parameters (Å, degrees): 7.9064 7.9064 3.5008 90.00 90.00 120.00
Atoms (fractional coordinates):
Tb (0.0000, 0.0000, 0.0000)
Y (0.3333, 0.6667, 0.0000)
Y (0.6667, 0.3333, 0.0000)
Al (0.0000, 0.3334, 0.5000)
Al (0.0000, 0.6666, 0.5000)
Al (0.3334, 0.0000, 0.5000)
Al (0.3334, 0.3334, 0.5000)
Al (0.6666, 0.0000, 0.5000)
Al (0.6666, 0.6666, 0.5000)

***

For Tb4YAl, a DFT-relaxed cell (PBE, Alexandria) gives the theoretical powder X-ray diffraction pattern in this record (Cu Kα, 1.54184 Å).
Lines closer than 0.1° are merged.

Most intense lines, 5 to 70 degrees two-theta, by angle:
d_spacing	two_theta	I_rel
3.434	25.95	15
3.164	28.21	13
2.827	31.65	100
2.503	35.88	43
2.350	38.31	8
1.872	48.64	12
1.770	51.63	14
1.713	53.48	12
1.578	58.51	13
1.500	61.84	32

Structural model:
Lattice parameters (Å, degrees): 3.5405 3.5405 14.0972 90.00 90.00 90.00
Atoms (fractional coordinates):
Tb (0.0000, 0.0000, 0.1360)
Tb (0.0000, 0.0000, 0.8640)
Tb (0.5000, 0.5000, 0.3191)
Tb (0.5000, 0.5000, 0.6809)
Y (0.0000, 0.0000, 0.5000)
Al (0.5000, 0.5000, 0.0000)

***

For Tb2Y3Al2, a DFT-relaxed cell (PBE, Alexandria) gives the theoretical powder X-ray diffraction pattern in this record (Cu Kα, 1.54184 Å).
Lines closer than 0.1° are merged.

Most intense lines, 5 to 70 degrees two-theta, by angle:
d_spacing	two_theta	I_rel
15.195	5.82	65
3.351	26.60	14
3.066	29.12	44
2.749	32.58	100
2.511	35.76	49
1.936	46.94	12
1.783	51.23	14
1.776	51.47	17
1.597	57.74	14
1.491	62.25	30

Structural model:
Lattice parameters (Å, degrees): 3.5512 3.5512 30.3899 90.00 90.00 90.00
Atoms (fractional coordinates):
Tb (0.0000, 0.0000, 0.2093)
Tb (0.0000, 0.0000, 0.7907)
Tb (0.5000, 0.5000, 0.2907)
Tb (0.5000, 0.5000, 0.7093)
Y (0.0000, 0.0000, 0.3765)
Y (0.0000, 0.0000, 0.5000)
Y (0.0000, 0.0000, 0.6235)
Y (0.5000, 0.5000, 0.0000)
Y (0.5000, 0.5000, 0.1235)
Y (0.5000, 0.5000, 0.8765)
Al (0.0000, 0.0000, 0.0624)
Al (0.0000, 0.0000, 0.9376)
Al (0.5000, 0.5000, 0.4376)
Al (0.5000, 0.5000, 0.5624)

***

For Tb2Y2Al, a DFT-relaxed cell (PBE, Alexandria) gives the theoretical powder X-ray diffraction pattern in this record (Cu Kα, 1.54184 Å).
Lines closer than 0.1° are merged.

Most intense lines, 5 to 70 degrees two-theta, by angle:
d_spacing	two_theta	I_rel
4.297	20.67	17
3.432	25.96	69
3.057	29.22	28
2.688	33.34	100
2.528	35.51	52
1.948	46.62	31
1.788	51.09	18
1.586	58.17	25
1.569	58.84	18
1.489	62.38	32

Structural model:
Lattice parameters (Å, degrees): 12.7382 12.7382 12.7382 157.10 157.10 32.60
Atoms (fractional coordinates):
Tb (0.0557, 0.3057, 0.7500)
Tb (0.3057, 0.0557, 0.2500)
Tb (0.6943, 0.9443, 0.7500)
Tb (0.9443, 0.6943, 0.2500)
Y (0.1995, 0.4495, 0.7500)
Y (0.4495, 0.1995, 0.2500)
Y (0.5505, 0.8005, 0.7500)
Y (0.8005, 0.5505, 0.2500)
Al (0.3750, 0.6250, 0.7500)
Al (0.6250, 0.3750, 0.2500)

***

For TbY5Al3, a DFT-relaxed cell (PBE, Alexandria) gives the theoretical powder X-ray diffraction pattern in this record (Cu Kα, 1.54184 Å).
Lines closer than 0.1° are merged.

Most intense lines, 5 to 70 degrees two-theta, by angle:
d_spacing	two_theta	I_rel
7.892	11.21	10
4.557	19.48	18
3.760	23.66	25
2.688	33.34	100
2.631	34.08	85
1.880	48.42	34
1.664	55.20	7
1.530	60.53	35
1.519	61.00	15
1.406	66.48	23

Structural model:
Lattice parameters (Å, degrees): 9.1130 9.1130 6.6562 90.00 90.00 120.00
Atoms (fractional coordinates):
Tb (0.0000, 0.0000, 0.0000)
Tb (0.0000, 0.0000, 0.5000)
Y (0.0000, 0.3316, 0.2500)
Y (0.0000, 0.6684, 0.7500)
Y (0.3316, 0.0000, 0.2500)
Y (0.3316, 0.3316, 0.7500)
Y (0.3333, 0.6667, 0.0000)
Y (0.3333, 0.6667, 0.5000)
Y (0.6667, 0.3333, 0.0000)
Y (0.6667, 0.3333, 0.5000)
Y (0.6684, 0.0000, 0.7500)
Y (0.6684, 0.6684, 0.2500)
Al (0.0000, 0.3357, 0.7500)
Al (0.0000, 0.6643, 0.2500)
Al (0.3357, 0.0000, 0.7500)
Al (0.3357, 0.3357, 0.2500)
Al (0.6643, 0.0000, 0.2500)
Al (0.6643, 0.6643, 0.7500)

***

For Tb2YAl6, a DFT-relaxed cell (PBE, Alexandria) gives the theoretical powder X-ray diffraction pattern in this record (Cu Kα, 1.54184 Å).
Lines closer than 0.1° are merged.

Most intense lines, 5 to 70 degrees two-theta, by angle:
d_spacing	two_theta	I_rel
6.851	12.92	9
3.955	22.48	64
2.623	34.19	100
2.284	39.46	46
1.978	45.88	10
1.913	47.53	10
1.722	53.18	28
1.602	57.54	10
1.390	67.37	19
1.375	68.20	26

Structural model:
Lattice parameters (Å, degrees): 7.9109 7.9109 3.5039 90.00 90.00 120.00
Atoms (fractional coordinates):
Tb (0.3333, 0.6667, 0.0000)
Tb (0.6667, 0.3333, 0.0000)
Y (0.0000, 0.0000, 0.0000)
Al (0.0000, 0.3333, 0.5000)
Al (0.0000, 0.6667, 0.5000)
Al (0.3333, 0.0000, 0.5000)
Al (0.3333, 0.3333, 0.5000)
Al (0.6667, 0.0000, 0.5000)
Al (0.6667, 0.6667, 0.5000)

***

For TbY2Al2, a DFT-relaxed cell (PBE, Alexandria) gives the theoretical powder X-ray diffraction pattern in this record (Cu Kα, 1.54184 Å).
Lines closer than 0.1° are merged.

Most intense lines, 5 to 70 degrees two-theta, by angle:
d_spacing	two_theta	I_rel
4.141	21.46	33
3.299	27.03	32
2.839	31.51	100
2.580	34.77	51
2.571	34.89	32
2.382	37.77	23
1.931	47.06	14
1.802	50.65	17
1.747	52.36	20
1.425	65.49	17

Structural model:
Lattice parameters (Å, degrees): 4.7633 6.5978 8.3769 90.00 90.00 90.00
Atoms (fractional coordinates):
Tb (0.0000, 0.0000, 0.0000)
Tb (0.5000, 0.5000, 0.5000)
Y (0.0000, 0.5000, 0.1973)
Y (0.0000, 0.5000, 0.8027)
Y (0.5000, 0.0000, 0.3027)
Y (0.5000, 0.0000, 0.6973)
Al (0.0000, 0.1992, 0.5000)
Al (0.0000, 0.8008, 0.5000)
Al (0.5000, 0.3008, 0.0000)
Al (0.5000, 0.6992, 0.0000)

***

Copy entry 8 word for word.
For TbY2Al2, a DFT-relaxed cell (PBE, Alexandria) gives the theoretical powder X-ray diffraction pattern in this record (Cu Kα, 1.54184 Å).
Lines closer than 0.1° are merged.

Most intense lines, 5 to 70 degrees two-theta, by angle:
d_spacing	two_theta	I_rel
4.141	21.46	33
3.299	27.03	32
2.839	31.51	100
2.580	34.77	51
2.571	34.89	32
2.382	37.77	23
1.931	47.06	14
1.802	50.65	17
1.747	52.36	20
1.425	65.49	17

Structural model:
Lattice parameters (Å, degrees): 4.7633 6.5978 8.3769 90.00 90.00 90.00
Atoms (fractional coordinates):
Tb (0.0000, 0.0000, 0.0000)
Tb (0.5000, 0.5000, 0.5000)
Y (0.0000, 0.5000, 0.1973)
Y (0.0000, 0.5000, 0.8027)
Y (0.5000, 0.0000, 0.3027)
Y (0.5000, 0.0000, 0.6973)
Al (0.0000, 0.1992, 0.5000)
Al (0.0000, 0.8008, 0.5000)
Al (0.5000, 0.3008, 0.0000)
Al (0.5000, 0.6992, 0.0000)